Computed XRD peak list
Compound: KSn2OsO8
Radiation: copper Kα
Structure: a cell relaxed with GGA-PBE
Peak positions follow from Bragg's law for the DFT cell and can differ from measured ones.

Cell: 4.819 6.671 5.008 Å, 90.00 91.57 90.00°
Space group P2/m (No. 10)
Unique sites:
K (0.000, 0.000, 0.000) (multiplicity 1)
Sn (0.500, 0.244, 0.500) (multiplicity 2)
Os (0.000, 0.500, 0.000) (multiplicity 1)
O (0.218, 0.308, 0.175) (multiplicity 4)
O (0.274, 0.500, 0.690) (multiplicity 2)
O (0.278, 0.000, 0.623) (multiplicity 2)

Main lines, sorted by position (2θ = 10–80°):
2θ = 13.3°, I = 47
2θ = 25.3°, I = 100
2θ = 26.0°, I = 90
2θ = 32.3°, I = 76
2θ = 32.7°, I = 88
2θ = 49.7°, I = 65

***

Computed XRD peak list
Compound: KTlOsO4
Radiation: copper Kα
Structure: a cell relaxed with GGA-PBE
Peak positions follow from Bragg's law for the DFT cell and can differ from measured ones.

Cell: 6.442 6.442 8.096 Å, 90.00 90.00 90.00°
Space group I-4 (No. 82)
Unique sites:
K (0.000, 0.000, 0.000) (multiplicity 2)
Tl (0.000, 0.000, 0.500) (multiplicity 2)
Os (0.000, 0.500, 0.750) (multiplicity 2)
O (0.183, 0.691, 0.820) (multiplicity 8)

Main lines, sorted by position (2θ = 10–80°):
2θ = 17.6°, I = 100
2θ = 27.7°, I = 35
2θ = 29.5°, I = 80
2θ = 33.0°, I = 34
2θ = 39.6°, I = 20
2θ = 50.1°, I = 33